# 1
Structure and calculated powder X-ray diffraction pattern of LaNdBiO (a crystal structure in Alexandria, relaxed with PBE; copper Kα).
Kinematic intensities with the Lorentz-polarization factor, no thermal factor.

Peak list (10 most intense, 15° ≤ 2θ ≤ 90°, in order of falling intensity)
Position (°2θ)	I_rel
29.18	1000
42.40	484
26.19	383
41.05	306
36.10	261
52.30	205
60.46	183
69.51	177
28.06	163
62.29	162

Structural model:
```
data_LaNdBiO
_cell_length_a 4.2635
_cell_length_b 4.2635
_cell_length_c 43.7852
_cell_angle_alpha 90.00
_cell_angle_beta 90.00
_cell_angle_gamma 120.00
_symmetry_space_group_name_H-M 'R -3 m'
_symmetry_Int_Tables_number 166
_symmetry_space_group_name_Hall '-R 3 2"'
loop_
_atom_site_label
_atom_site_type_symbol
_atom_site_fract_x
_atom_site_fract_y
_atom_site_fract_z
_atom_site_occupancy
La1 La 0.0000 0.0000 0.0000 1
La2 La 0.0000 0.0000 0.5000 1
Nd1 Nd 0.0000 0.0000 0.2394 1
Bi1 Bi 0.0000 0.0000 0.3818 1
O1 O 0.0000 0.0000 0.1883 1
```

# 2
Structure and calculated powder X-ray diffraction pattern of La3Ni3Bi4 (a crystal structure in Alexandria, relaxed with PBE; copper Kα).
Kinematic intensities with the Lorentz-polarization factor, no thermal factor.

Peak list (10 most intense, 15° ≤ 2θ ≤ 90°, in order of falling intensity)
Position (°2θ)	I_rel
33.58	1000
28.26	673
46.36	261
44.44	247
56.83	192
40.39	180
58.44	165
60.03	135
69.12	133
83.22	100

Structural model:
```
data_La3Ni3Bi4
_cell_length_a 9.9871
_cell_length_b 9.9871
_cell_length_c 9.9871
_cell_angle_alpha 90.00
_cell_angle_beta 90.00
_cell_angle_gamma 90.00
_symmetry_space_group_name_H-M 'I -4 3 d'
_symmetry_Int_Tables_number 220
_symmetry_space_group_name_Hall 'I -4bd 2c 3'
loop_
_atom_site_label
_atom_site_type_symbol
_atom_site_fract_x
_atom_site_fract_y
_atom_site_fract_z
_atom_site_occupancy
La1 La 0.0000 0.2500 0.8750 1
Ni1 Ni 0.0000 0.2500 0.3750 1
Bi1 Bi 0.0773 0.4227 0.5773 1
```

# 3
Structure and calculated powder X-ray diffraction pattern of LaBi3O8 (a crystal structure in Alexandria, relaxed with PBE; copper Kα).
Kinematic intensities with the Lorentz-polarization factor, no thermal factor.

Peak list (10 most intense, 15° ≤ 2θ ≤ 90°, in order of falling intensity)
Position (°2θ)	I_rel
28.08	1000
33.22	371
46.15	327
56.25	303
53.52	192
47.69	187
31.12	176
74.47	142
58.04	127
87.76	104

Structural model:
```
data_LaBi3O8
_cell_length_a 3.8141
_cell_length_b 7.6290
_cell_length_c 11.4967
_cell_angle_alpha 90.00
_cell_angle_beta 90.00
_cell_angle_gamma 90.00
_symmetry_space_group_name_H-M 'A m m 2'
_symmetry_Int_Tables_number 38
loop_
_symmetry_equiv_pos_as_xyz
'x,y,z'
'-x,-y,z'
'-x,y,z'
'x,-y,z'
'x,y+1/2,z+1/2'
'-x,-y+1/2,z+1/2'
'-x,y+1/2,z+1/2'
'x,-y+1/2,z+1/2'
loop_
_atom_site_label
_atom_site_type_symbol
_atom_site_fract_x
_atom_site_fract_y
_atom_site_fract_z
_atom_site_occupancy
La1 La 0.0000 0.0000 0.0000 1
Bi1 Bi 0.0000 0.0000 0.5215 1
Bi2 Bi 0.5000 0.2379 0.7502 1
O1 O 0.0000 0.0000 0.3429 1
O2 O 0.0000 0.0000 0.7946 1
O3 O 0.0000 0.2393 0.6247 1
O4 O 0.5000 0.0000 0.1655 1
O5 O 0.5000 0.0000 0.6097 1
O6 O 0.5000 0.2185 0.9387 1
```